Record 1
# Sn4C23
Computed X-ray powder pattern, λ = 1.5418 Å (Cu Kα). Input: DFT lattice parameters and positions (PBE).
Intensities are scaled so that the largest is 100.

Largest 12 diffraction maxima, in order of rising 2θ, 10 to 80 degrees two-theta:
2θ/deg  d/Å  I_rel
23.50  3.786  16
26.32  3.386  88
28.88  3.091  100
43.07  2.100  47
44.78  2.024  87
48.06  1.893  38
54.17  1.693  16
55.62  1.652  26
66.49  1.406  28
67.78  1.383  17
70.33  1.339  22
77.74  1.228  29

Cell and atoms:
Lattice parameters (Å, degrees): 7.5724 7.5724 7.5724 90.00 90.00 90.00
Atoms (fractional coordinates):
Sn: 0.0000 0.0000 0.0000
Sn: 0.0000 0.2500 0.5000
Sn: 0.0000 0.7500 0.5000
Sn: 0.2500 0.5000 0.0000
Sn: 0.5000 0.0000 0.2500
Sn: 0.5000 0.0000 0.7500
Sn: 0.5000 0.5000 0.5000
Sn: 0.7500 0.5000 0.0000
C: 0.0000 0.2846 0.1994
C: 0.0000 0.2846 0.8006
C: 0.0000 0.5000 0.2500
C: 0.0000 0.5000 0.7500
C: 0.0000 0.7154 0.1994
C: 0.0000 0.7154 0.8006
C: 0.1879 0.1879 0.1879
C: 0.1879 0.1879 0.8121
C: 0.1879 0.8121 0.1879
C: 0.1879 0.8121 0.8121
C: 0.1994 0.0000 0.2846
C: 0.1994 0.0000 0.7154
C: 0.2154 0.5000 0.3006
C: 0.2154 0.5000 0.6994
C: 0.2500 0.0000 0.5000
C: 0.2846 0.1994 0.0000
C: 0.2846 0.8006 0.0000
C: 0.3006 0.2154 0.5000
C: 0.3006 0.7846 0.5000
C: 0.3121 0.3121 0.3121
C: 0.3121 0.3121 0.6879
C: 0.3121 0.6879 0.3121
C: 0.3121 0.6879 0.6879
C: 0.5000 0.2500 0.0000
C: 0.5000 0.3006 0.2154
C: 0.5000 0.3006 0.7846
C: 0.5000 0.6994 0.2154
C: 0.5000 0.6994 0.7846
C: 0.5000 0.7500 0.0000
C: 0.6879 0.3121 0.3121
C: 0.6879 0.3121 0.6879
C: 0.6879 0.6879 0.3121
C: 0.6879 0.6879 0.6879
C: 0.6994 0.2154 0.5000
C: 0.6994 0.7846 0.5000
C: 0.7154 0.1994 0.0000
C: 0.7154 0.8006 0.0000
C: 0.7500 0.0000 0.5000
C: 0.7846 0.5000 0.3006
C: 0.7846 0.5000 0.6994
C: 0.8006 0.0000 0.2846
C: 0.8006 0.0000 0.7154
C: 0.8121 0.1879 0.1879
C: 0.8121 0.1879 0.8121
C: 0.8121 0.8121 0.1879
C: 0.8121 0.8121 0.8121

Record 2
# Cs2SmBe2Se4
Computed X-ray powder pattern, λ = 1.5418 Å (Cu Kα). Input: DFT lattice parameters and positions (PBE).
Intensities are scaled so that the largest is 100.

Largest 12 diffraction maxima, in order of rising 2θ, 10 to 80 degrees two-theta:
2θ/deg  d/Å  I_rel
12.10  7.317  14
23.29  3.819  17
26.66  3.344  26
28.78  3.102  15
29.06  3.072  20
29.98  2.981  48
30.64  2.918  100
36.77  2.444  47
41.81  2.160  16
45.88  1.978  18
49.31  1.848  31
55.78  1.648  16

Cell and atoms:
Lattice parameters (Å, degrees): 8.0252 8.0252 8.6593 109.19 109.19 28.54
Atoms (fractional coordinates):
Cs: 0.1333 0.1333 0.0393
Cs: 0.8667 0.8667 0.9607
Sm: 0.0000 0.0000 0.5000
Be: 0.3296 0.3296 0.5265
Be: 0.6704 0.6704 0.4735
Se: 0.2043 0.2043 0.6307
Se: 0.4639 0.4639 0.7263
Se: 0.5361 0.5361 0.2737
Se: 0.7957 0.7957 0.3693

Record 3
# Ba5Er8Zn4O21
Computed X-ray powder pattern, λ = 1.5418 Å (Cu Kα). Input: DFT lattice parameters and positions (PBE).
Intensities are scaled so that the largest is 100.

Largest 12 diffraction maxima, in order of rising 2θ, 10 to 80 degrees two-theta:
2θ/deg  d/Å  I_rel
28.03  3.183  45
28.91  3.088  16
30.94  2.891  100
31.27  2.860  42
36.11  2.487  35
37.99  2.369  13
43.11  2.099  18
46.16  1.967  19
47.47  1.915  11
50.00  1.824  11
55.45  1.657  19
57.10  1.613  11

Cell and atoms:
Lattice parameters (Å, degrees): 10.1761 10.1761 10.1761 94.53 94.53 147.35
Atoms (fractional coordinates):
Ba: 0.0000 0.0000 0.0000
Ba: 0.1399 0.4645 0.6044
Ba: 0.4645 0.8601 0.3246
Ba: 0.5355 0.1399 0.6754
Ba: 0.8601 0.5355 0.3956
Er: 0.1682 0.7524 0.9207
Er: 0.2476 0.1682 0.4158
Er: 0.3583 0.5887 0.9470
Er: 0.4113 0.3583 0.7696
Er: 0.5887 0.6417 0.2304
Er: 0.6417 0.4113 0.0530
Er: 0.7524 0.8318 0.5842
Er: 0.8318 0.2476 0.0793
Zn: 0.0406 0.2499 0.2905
Zn: 0.2499 0.9594 0.2093
Zn: 0.7501 0.0406 0.7907
Zn: 0.9594 0.7501 0.7095
O: 0.0074 0.6021 0.1079
O: 0.0388 0.6290 0.6678
O: 0.0735 0.2026 0.7743
O: 0.1004 0.9926 0.5946
O: 0.2026 0.4284 0.1291
O: 0.2992 0.0735 0.8709
O: 0.3710 0.0388 0.4098
O: 0.3979 0.5058 0.4054
O: 0.4284 0.2992 0.2257
O: 0.4942 0.8996 0.8921
O: 0.5000 0.5000 0.0000
O: 0.5058 0.1004 0.1079
O: 0.5716 0.7008 0.7743
O: 0.6021 0.4942 0.5946
O: 0.6290 0.9612 0.5902
O: 0.7008 0.9265 0.1291
O: 0.7974 0.5716 0.8709
O: 0.8996 0.0074 0.4054
O: 0.9265 0.7974 0.2257
O: 0.9612 0.3710 0.3322
O: 0.9926 0.3979 0.8921

Which formula does entry 3 have? Ba5Er8Zn4O21